Theoretical XRD peak list
Compound: Cd2FeSbO6
Radiation: Cu Kα (λ = 1.5418 Å)
Structure: a DFT-relaxed cell (GGA+U, Alexandria)

Top 10 peaks for 2θ = 15–90°, sorted by position:
2.782 Å, I 22.7, (0 2 0); 2.767 Å, I 100.0, (1 1 1); 2.728 Å, I 23.0, (2 0 -2); 1.965 Å, I 13.4, (0 0 4); 1.948 Å, I 22.9, (2 2 -2); 1.605 Å, I 17.7, (0 2 4); 1.602 Å, I 7.3, (1 3 -3); 1.585 Å, I 11.1, (3 1 -1); 1.580 Å, I 11.0, (3 1 -5); 1.381 Å, I 6.0, (2 2 -6)

Cell and atoms:
```
data_Cd2FeSbO6
_cell_length_a 5.456
_cell_length_b 5.563
_cell_length_c 9.550
_cell_angle_alpha 90.00
_cell_angle_beta 124.60
_cell_angle_gamma 90.00
_symmetry_space_group_name_H-M 'P 1'
_symmetry_Int_Tables_number 1
_symmetry_space_group_name_Hall 'P 1'
loop_
_atom_site_label
_atom_site_fract_x
_atom_site_fract_y
_atom_site_fract_z
_atom_site_occupancy
Cd1 0.237 0.043 0.248 1
Cd2 0.237 0.457 0.748 1
Cd3 0.763 0.543 0.252 1
Cd4 0.763 0.957 0.752 1
Fe1 0.000 0.000 0.500 1
Fe2 0.000 0.500 0.000 1
Sb1 0.500 0.000 0.000 1
Sb2 0.500 0.500 0.500 1
O1 0.149 0.202 0.946 1
O2 0.149 0.298 0.446 1
O3 0.246 0.705 0.943 1
O4 0.246 0.795 0.443 1
O5 0.358 0.041 0.754 1
O6 0.358 0.459 0.254 1
O7 0.642 0.541 0.746 1
O8 0.642 0.959 0.246 1
O9 0.754 0.205 0.557 1
O10 0.754 0.295 0.057 1
O11 0.851 0.702 0.554 1
O12 0.851 0.798 0.054 1
```